Structure and calculated powder X-ray diffraction pattern of Li2PrCd10 (a structure optimized by DFT (GGA-PBE); Cu Ka).
Neutral-atom scattering factors, no anomalous dispersion.

Most intense lines, 2θ = 10–90°, by angle:
h k l  Position (°2θ)  d/Å  intensity
0 1 -2  27.91  3.197  27
1 2 -1  31.06  2.879  46
2 1 1  32.29  2.772  28
0 2 2  35.53  2.526  40
1 3 0  35.90  2.501  100
2 0 2  36.98  2.431  35
1 3 2  40.23  2.242  23
2 1 3  41.21  2.190  37

Structural model:
a = 5.545 Å, b = 7.658 Å, c = 7.668 Å
α = 82.50°, β = 68.84°, γ = 68.83°
Atoms (fractional coordinates):
Li 0.000 0.000 0.000
Li 0.500 0.000 0.000
Pr 0.000 0.500 0.000
Cd 0.000 0.500 0.500
Cd 0.015 0.138 0.335
Cd 0.287 0.725 0.205
Cd 0.348 0.138 0.665
Cd 0.489 0.724 0.795
Cd 0.500 0.500 0.500
Cd 0.511 0.276 0.205
Cd 0.652 0.862 0.335
Cd 0.713 0.275 0.795
Cd 0.985 0.862 0.665